No. 1
The following is a theoretical PXRD pattern of DyPuH8Ir2. It was derived from a GGA-PBE-relaxed structure, using copper Kα.
No peak broadening, texture or thermal motion is included.

Structure:
```
DyPuH8Ir2
1.0
2.265 1.307 6.521
-2.265 1.307 6.521
0.000 -2.615 6.521
Dy Pu H Ir
1 1 8 2
Cartesian
0.000 0.000 0.000
0.000 0.000 9.782
-1.021 -0.590 7.562
0.000 0.000 2.887
0.000 -1.179 12.002
-1.021 0.590 12.002
1.021 -0.590 7.562
0.000 1.179 7.562
0.000 0.000 16.677
1.021 0.590 12.002
0.000 0.000 4.612
0.000 0.000 14.952
```

Largest 8 diffraction maxima, low angle first, 2θ = 10–80°:
- 13.6°, I = 101
- 29.2°, I = 1000
- 39.8°, I = 476
- 43.6°, I = 288
- 50.1°, I = 232
- 60.5°, I = 109
- 65.8°, I = 207
- 74.9°, I = 119

No. 2
The following is a theoretical PXRD pattern of Pm6YTh. It was derived from a GGA-PBE-relaxed structure, using copper Kα.
No peak broadening, texture or thermal motion is included.

Structure:
```
Pm6YTh
1.0
7.250 0.000 0.000
0.000 7.250 0.000
0.000 0.000 5.163
Pm Y Th
6 1 1
Cartesian
0.000 3.625 0.000
1.774 1.774 2.581
1.774 5.476 2.581
3.625 0.000 0.000
5.476 1.774 2.581
5.476 5.476 2.581
3.625 3.625 0.000
0.000 0.000 0.000
```

Largest 8 diffraction maxima, low angle first, 2θ = 10–80°:
- 30.1°, I = 1000
- 34.8°, I = 172
- 35.0°, I = 335
- 50.2°, I = 243
- 50.3°, I = 119
- 59.5°, I = 146
- 59.8°, I = 285
- 62.6°, I = 124

No. 3
The following is a theoretical PXRD pattern of Pa3Co9Si2P. It was derived from a GGA-PBE-relaxed structure, using copper Kα.
No peak broadening, texture or thermal motion is included.

Structure:
```
Pa3Co9Si2P
1.0
5.159 0.000 0.000
-2.580 4.468 0.000
0.000 0.000 9.848
Pa Co Si P
3 9 2 1
Cartesian
0.000 0.000 0.000
0.000 2.979 6.902
2.580 1.489 2.946
-1.290 2.234 0.000
0.000 1.521 3.436
-1.263 3.708 3.436
1.317 0.760 6.413
2.580 0.000 0.000
1.290 2.234 0.000
1.263 3.708 3.436
3.842 0.760 6.413
2.580 2.947 6.413
0.000 2.979 1.695
2.580 1.489 8.153
0.000 0.000 4.924
```

Largest 8 diffraction maxima, low angle first, 2θ = 10–80°:
- 21.8°, I = 585
- 26.9°, I = 787
- 27.2°, I = 845
- 34.8°, I = 408
- 41.4°, I = 974
- 44.5°, I = 1000
- 55.5°, I = 405
- 73.4°, I = 233

No. 4
The following is a theoretical PXRD pattern of H5SBr2. It was derived from a GGA-PBE-relaxed structure, using copper Kα.
No peak broadening, texture or thermal motion is included.

Structure:
```
H5SBr2
1.0
5.417 0.000 0.000
-2.181 5.079 0.000
-1.761 -2.322 5.638
H S Br
5 1 2
Cartesian
0.000 0.000 0.000
-3.003 0.913 5.519
-0.574 0.435 3.762
-1.878 2.646 5.532
0.841 3.104 3.045
-1.130 4.383 0.659
1.618 2.526 1.877
2.059 -1.235 4.688
```

Largest 8 diffraction maxima, low angle first, 2θ = 10–80°:
- 19.5°, I = 711
- 19.6°, I = 567
- 25.6°, I = 754
- 29.0°, I = 529
- 29.7°, I = 1000
- 33.3°, I = 344
- 34.0°, I = 353
- 39.5°, I = 397

No. 5
The following is a theoretical PXRD pattern of Ac4AsAu2. It was derived from a GGA-PBE-relaxed structure, using copper Kα.
No peak broadening, texture or thermal motion is included.

Structure:
```
Ac4AsAu2
1.0
-3.002 3.002 7.581
3.002 -3.002 7.581
3.002 3.002 -7.581
Ac As Au
4 1 2
Cartesian
3.002 0.000 0.000
0.000 0.000 3.081
0.000 3.002 0.000
0.000 0.000 12.080
0.000 0.000 0.000
0.000 0.000 6.106
0.000 0.000 9.056
```

Largest 8 diffraction maxima, low angle first, 2θ = 10–80°:
- 20.9°, I = 288
- 24.0°, I = 649
- 29.8°, I = 1000
- 31.6°, I = 230
- 33.1°, I = 688
- 42.6°, I = 385
- 45.1°, I = 592
- 63.8°, I = 214

No. 6
The following is a theoretical PXRD pattern of AcHg2Pb2. It was derived from a GGA-PBE-relaxed structure, using copper Kα.
No peak broadening, texture or thermal motion is included.

Structure:
```
AcHg2Pb2
1.0
-1.993 2.575 15.240
1.993 -2.575 15.240
1.993 2.575 -15.240
Ac Hg Pb
2 4 4
Cartesian
0.000 1.287 2.224
1.993 1.287 13.016
1.993 1.287 -3.594
1.993 1.287 -0.671
0.000 1.287 15.911
0.000 1.287 18.834
1.993 -1.287 9.023
1.993 1.287 5.485
0.000 1.287 9.755
0.000 3.862 6.217
```

Largest 8 diffraction maxima, low angle first, 2θ = 10–80°:
- 30.4°, I = 331
- 30.7°, I = 1000
- 34.8°, I = 357
- 36.8°, I = 391
- 45.5°, I = 167
- 46.9°, I = 206
- 58.6°, I = 160
- 59.9°, I = 351